Diffraction record for B3Pb10Br3O13. The PXRD pattern is simulated, not measured: it uses a GGA-PBE-relaxed structure and Cu Kα (weighted mean of Kα1 and Kα2).

Atomic structure:
```
data_B3Pb10Br3O13
_chemical_formula_sum 'B12 Pb40 Br12 O52'
_space_group_name_H-M_alt 'C 1 c 1'
_space_group_IT_number 9
_cell_length_a 16.9781
_cell_length_b 9.1114
_cell_length_c 17.1577
_cell_angle_alpha 90.00
_cell_angle_beta 114.64
_cell_angle_gamma 90.00
loop_
_space_group_symop_operation_xyz
'x,y,z'
'x,-y,z+1/2'
'x+1/2,y+1/2,z'
'x+1/2,-y+1/2,z+1/2'
loop_
_atom_site_label
_atom_site_fract_x
_atom_site_fract_y
_atom_site_fract_z
B1 0.0000 0.0761 0.0000
B2 0.3939 0.0790 0.8810
B3 0.4450 0.2481 0.1817
Pb1 0.0334 0.3073 0.8865
Pb2 0.0908 0.0378 0.1848
Pb3 0.1055 0.2546 0.5230
Pb4 0.1703 0.3546 0.7450
Pb5 0.2191 0.3437 0.1214
Pb6 0.2872 0.2547 0.3505
Pb7 0.3050 0.0426 0.6924
Pb8 0.3516 0.3261 0.9782
Pb9 0.4165 0.4546 0.7898
Pb10 0.4794 0.0422 0.5873
Br1 0.0843 0.3494 0.2975
Br2 0.1945 0.0490 0.9341
Br3 0.3125 0.3550 0.5802
O1 0.0079 0.3408 0.6764
O2 0.0519 0.1764 0.0596
O3 0.1141 0.4634 0.6088
O4 0.1714 0.1518 0.6558
O5 0.2247 0.1460 0.2192
O6 0.2838 0.4527 0.2580
O7 0.3448 0.1775 0.8184
O8 0.3671 0.2725 0.1123
O9 0.4040 0.0649 0.3587
O10 0.4325 0.1250 0.9670
O11 0.4574 0.3833 0.4139
O12 0.4597 0.3130 0.2603
O13 0.4910 0.4337 0.0257
```

Largest 10 diffraction maxima, by intensity, 2θ = 5–70°:
2θ/deg	d/Å	Rel. int.
28.79	3.101	100
28.47	3.135	76
29.73	3.005	46
22.59	3.936	45
32.68	2.740	38
26.30	3.389	38
28.05	3.181	36
24.79	3.591	34
29.99	2.979	32
27.62	3.230	30